No. 1
Structure and calculated PXRD pattern of Rb4V2O9 (a crystal structure in the Materials Project, relaxed with GGA+U; Cu Ka).
Kinematic intensities with the Lorentz-polarization factor, no thermal factor.

Most intense lines, 2θ = 5–70°, low angle first:
Position (°2θ)	Rel. int.	hkl
21.19	50.1	1 1 0
26.76	94.1	1 0 -2
28.27	84.6	2 0 0
28.48	91.9	1 -2 0
30.59	100.0	0 2 -2
31.33	53.5	-2 1 1
32.71	79.4	1 0 2
32.99	55.3	1 2 0
41.17	30.8	2 2 -2
43.09	42.9	2 -2 2

abc: 6.525 7.017 7.382
angles: 108.91 100.68 95.88
Space group P-1 (No. 2)
Symmetry-distinct sites (fractional):
Rb 0.195 0.076 0.360 [2 per cell]
Rb 0.254 0.608 0.845 [2 per cell]
V 0.312 0.585 0.336 [2 per cell]
O 0.129 0.698 0.450 [2 per cell]
O 0.179 0.372 0.131 [2 per cell]
O 0.247 0.106 0.914 [2 per cell]
O 0.452 0.755 0.264 [2 per cell]
O 0.500 0.500 0.500 [1 per cell]


No. 2
Structure and calculated PXRD pattern of Rb2V2O5 (a crystal structure in the Materials Project, relaxed with GGA+U; Cu Ka).
Kinematic intensities with the Lorentz-polarization factor, no thermal factor.

Most intense lines, 2θ = 5–70°, low angle first:
Position (°2θ)	Rel. int.	hkl
27.15	32.3	0 2 0
28.53	40.9	0 0 2
31.61	100.0	4 1 1
36.93	18.4	4 2 0
37.99	13.0	4 0 2
39.80	41.5	0 2 2
50.34	12.9	8 0 0
50.86	12.6	4 3 1
52.50	20.5	4 1 3
66.01	14.8	8 2 2

abc: 14.501 6.568 6.257
angles: 90.00 90.00 90.00
Space group Ima2 (No. 46)
Symmetry-distinct sites (fractional):
Rb 0.122 0.025 0.000 [8 per cell]
V 0.000 0.000 0.537 [4 per cell]
V 0.250 0.594 0.996 [4 per cell]
O 0.008 0.718 0.194 [8 per cell]
O 0.141 0.034 0.483 [8 per cell]
O 0.250 0.725 0.261 [4 per cell]